Record 1
Computed powder diffractogram of CsLiMg6O7 for λ = 1.5418 Å (Cu Kα), from DFT lattice parameters and positions (GGA-PBE).
Neutral-atom scattering factors, no anomalous dispersion.

Most intense lines, 10° ≤ 2θ ≤ 90°, sorted by position:
- hkl 1 0 0, 21.38 deg, I = 36
- hkl 0 0 3, 22.30 deg, I = 35
- hkl 1 0 1, 22.65 deg, I = 100
- hkl 1 0 2, 26.11 deg, I = 68
- hkl 1 0 3, 31.09 deg, I = 92
- hkl 1 1 1, 31.34 deg, I = 69
- hkl 1 1 2, 33.99 deg, I = 55
- hkl 2 0 0, 43.55 deg, I = 84
- hkl 2 1 3, 54.47 deg, I = 35
- hkl 2 2 0, 63.31 deg, I = 38

Crystal structure
```
data_CsLiMg6O7
_chemical_formula_sum 'Cs1 Li1 Mg6 O7'
_cell_length_a 4.1564
_cell_length_b 4.1564
_cell_length_c 11.9594
_cell_angle_alpha 90.00
_cell_angle_beta 90.00
_cell_angle_gamma 90.00
_space_group_name_H-M_alt 'P 4 m m'
_space_group_IT_number 99
_space_group_name_Hall 'P 4 -2'
loop_
_atom_site_label
_atom_site_fract_x
_atom_site_fract_y
_atom_site_fract_z
Cs1 0.0000 0.0000 0.0000
Li1 0.0000 0.0000 0.4889
Mg1 0.0000 0.5000 0.3051
Mg2 0.0000 0.5000 0.6613
Mg3 0.5000 0.5000 0.4670
Mg4 0.5000 0.5000 0.8418
O1 0.0000 0.0000 0.2745
O2 0.0000 0.0000 0.6515
O3 0.0000 0.5000 0.4860
O4 0.0000 0.5000 0.8312
O5 0.5000 0.5000 0.2979
```



Record 2
Computed powder diffractogram of CsLiMoS4 for λ = 1.5418 Å (Cu Kα), from DFT lattice parameters and positions (GGA-PBE).
Neutral-atom scattering factors, no anomalous dispersion.

Most intense lines, 10° ≤ 2θ ≤ 90°, sorted by position:
- hkl 1 0 0, 15.39 deg, I = 36
- hkl 0 0 2, 18.54 deg, I = 36
- hkl 1 1 0, 19.20 deg, I = 100
- hkl 1 0 -2, 20.57 deg, I = 52
- hkl 0 1 2, 21.83 deg, I = 56
- hkl 0 2 0, 22.95 deg, I = 61
- hkl 1 2 0, 27.75 deg, I = 49
- hkl 1 0 -3, 27.93 deg, I = 59
- hkl 1 2 -2, 31.02 deg, I = 62
- hkl 2 2 2, 47.33 deg, I = 31

Crystal structure
```
data_CsLiMoS4
_chemical_formula_sum 'Cs2 Li2 Mo2 S8'
_cell_length_a 5.9949
_cell_length_b 7.7491
_cell_length_c 9.9632
_cell_angle_alpha 90.00
_cell_angle_beta 106.17
_cell_angle_gamma 90.00
_space_group_name_H-M_alt 'P 1 21/m 1'
_space_group_IT_number 11
_space_group_name_Hall '-P 2yb'
loop_
_atom_site_label
_atom_site_fract_x
_atom_site_fract_y
_atom_site_fract_z
Cs1 0.1956 0.2500 0.3618
Li1 0.3551 0.7500 0.1899
Mo1 0.1342 0.2500 0.7842
S1 0.0315 0.2500 0.9783
S2 0.1891 0.7500 0.3922
S3 0.3457 0.0203 0.7753
```



Record 3
Computed powder diffractogram of CsNaLi2 for λ = 1.5418 Å (Cu Kα), from DFT lattice parameters and positions (GGA-PBE).
Neutral-atom scattering factors, no anomalous dispersion.

Most intense lines, 10° ≤ 2θ ≤ 90°, sorted by position:
- hkl 1 0 1, 15.07 deg, I = 47
- hkl 0 0 4, 15.54 deg, I = 48
- hkl 1 0 3, 18.68 deg, I = 39
- hkl 1 1 2, 22.08 deg, I = 100
- hkl 2 0 0, 29.36 deg, I = 24
- hkl 0 0 8, 31.40 deg, I = 52
- hkl 2 0 4, 33.38 deg, I = 35
- hkl 2 2 4, 45.02 deg, I = 31
- hkl 3 1 2, 47.94 deg, I = 27
- hkl 3 1 6, 53.36 deg, I = 25

Crystal structure
```
data_CsNaLi2
_chemical_formula_sum 'Cs4 Na4 Li8'
_cell_length_a 6.0848
_cell_length_b 6.0848
_cell_length_c 22.8059
_cell_angle_alpha 90.00
_cell_angle_beta 90.00
_cell_angle_gamma 90.00
_space_group_name_H-M_alt 'I -4 2 d'
_space_group_IT_number 122
_space_group_name_Hall 'I -4 2bw'
loop_
_atom_site_label
_atom_site_fract_x
_atom_site_fract_y
_atom_site_fract_z
Cs1 0.0000 0.0000 0.0000
Na1 0.0000 0.0000 0.5000
Li1 0.0035 0.2500 0.6250
```



Record 4
Computed powder diffractogram of CsNa3Li for λ = 1.5418 Å (Cu Kα), from DFT lattice parameters and positions (GGA-PBE).
Neutral-atom scattering factors, no anomalous dispersion.

Most intense lines, 10° ≤ 2θ ≤ 90°, sorted by position:
- hkl 2 2 0, 17.69 deg, I = 27
- hkl 0 2 1, 18.32 deg, I = 30
- hkl 4 0 0, 19.51 deg, I = 71
- hkl 2 0 -2, 21.63 deg, I = 45
- hkl 1 3 0, 22.77 deg, I = 33
- hkl 2 0 2, 25.71 deg, I = 100
- hkl 3 3 0, 26.69 deg, I = 81
- hkl 1 3 -2, 30.82 deg, I = 64
- hkl 5 3 -2, 36.72 deg, I = 29
- hkl 1 3 4, 51.24 deg, I = 29

Crystal structure
```
data_CsNa3Li
_chemical_formula_sum 'Cs8 Na24 Li8'
_cell_length_a 18.7209
_cell_length_b 11.9948
_cell_length_c 8.4351
_cell_angle_alpha 90.00
_cell_angle_beta 103.23
_cell_angle_gamma 90.00
_space_group_name_H-M_alt 'C 1 2/c 1'
_space_group_IT_number 15
_space_group_name_Hall '-C 2yc'
loop_
_atom_site_label
_atom_site_fract_x
_atom_site_fract_y
_atom_site_fract_z
Cs1 0.0000 0.0167 0.2500
Cs2 0.0000 0.3589 0.7500
Na1 0.1875 0.1647 0.0851
Na2 0.1883 0.4971 0.5955
Na3 0.1946 0.1672 0.6030
Li1 0.0904 0.3241 0.2950
```



Record 5
Computed powder diffractogram of Cs4Na5Li for λ = 1.5418 Å (Cu Kα), from DFT lattice parameters and positions (GGA-PBE).
Neutral-atom scattering factors, no anomalous dispersion.

Most intense lines, 10° ≤ 2θ ≤ 90°, sorted by position:
- hkl 1 2 1, 19.05 deg, I = 100
- hkl 2 2 0, 19.97 deg, I = 21
- hkl 0 0 2, 21.38 deg, I = 36
- hkl 3 1 0, 22.36 deg, I = 49
- hkl 3 0 1, 23.77 deg, I = 48
- hkl 2 2 2, 29.42 deg, I = 23
- hkl 3 1 2, 31.13 deg, I = 37
- hkl 1 2 3, 36.14 deg, I = 23
- hkl 3 4 1, 37.35 deg, I = 44
- hkl 4 3 3, 48.91 deg, I = 20

Crystal structure
```
data_Cs4Na5Li
_chemical_formula_sum 'Cs8 Na10 Li2'
_cell_length_a 12.5741
_cell_length_b 12.5741
_cell_length_c 8.3122
_cell_angle_alpha 90.00
_cell_angle_beta 90.00
_cell_angle_gamma 90.00
_space_group_name_H-M_alt 'I 4'
_space_group_IT_number 79
_space_group_name_Hall 'I 4'
loop_
_atom_site_label
_atom_site_fract_x
_atom_site_fract_y
_atom_site_fract_z
Cs1 0.0604 0.6958 0.0000
Na1 0.0000 0.0000 0.2021
Na2 0.0861 0.8148 0.5119
Li1 0.0000 0.0000 0.7787
```



Record 6
Computed powder diffractogram of CsNa8Li2 for λ = 1.5418 Å (Cu Kα), from DFT lattice parameters and positions (GGA-PBE).
Neutral-atom scattering factors, no anomalous dispersion.

Most intense lines, 10° ≤ 2θ ≤ 90°, sorted by position:
- hkl 1 0 1, 12.84 deg, I = 100
- hkl 1 0 3, 17.06 deg, I = 54
- hkl 1 1 2, 19.05 deg, I = 49
- hkl 0 0 6, 23.85 deg, I = 36
- hkl 2 0 2, 25.85 deg, I = 54
- hkl 2 1 1, 27.82 deg, I = 33
- hkl 2 0 4, 29.37 deg, I = 52
- hkl 2 1 3, 30.06 deg, I = 26
- hkl 2 2 0, 35.03 deg, I = 30
- hkl 2 2 6, 42.82 deg, I = 29

Crystal structure
```
data_CsNa8Li2
_chemical_formula_sum 'Cs2 Na16 Li4'
_cell_length_a 7.2460
_cell_length_b 7.2460
_cell_length_c 22.3888
_cell_angle_alpha 90.00
_cell_angle_beta 90.00
_cell_angle_gamma 90.00
_space_group_name_H-M_alt 'I 4/m m m'
_space_group_IT_number 139
_space_group_name_Hall '-I 4 2'
loop_
_atom_site_label
_atom_site_fract_x
_atom_site_fract_y
_atom_site_fract_z
Cs1 0.0000 0.0000 0.0000
Na1 0.2494 0.2494 0.3354
Li1 0.0000 0.5000 0.2500
```



Record 7
Computed powder diffractogram of CsNa10Li2 for λ = 1.5418 Å (Cu Kα), from DFT lattice parameters and positions (GGA-PBE).
Neutral-atom scattering factors, no anomalous dispersion.

Most intense lines, 10° ≤ 2θ ≤ 90°, sorted by position:
- hkl 1 1 1, 12.17 deg, I = 40
- hkl 1 1 2, 17.78 deg, I = 37
- hkl 2 2 1, 20.71 deg, I = 59
- hkl 0 4 0, 25.40 deg, I = 39
- hkl 0 2 3, 25.84 deg, I = 53
- hkl 3 1 2, 27.35 deg, I = 59
- hkl 4 0 0, 29.36 deg, I = 63
- hkl 0 4 2, 29.60 deg, I = 48
- hkl 2 2 3, 29.78 deg, I = 100
- hkl 0 0 4, 30.10 deg, I = 60

Crystal structure
```
data_CsNa10Li2
_chemical_formula_sum 'Cs4 Na40 Li8'
_cell_length_a 12.1868
_cell_length_b 14.0169
_cell_length_c 11.8781
_cell_angle_alpha 90.00
_cell_angle_beta 90.00
_cell_angle_gamma 90.00
_space_group_name_H-M_alt 'C m c m'
_space_group_IT_number 63
_space_group_name_Hall '-C 2c 2'
loop_
_atom_site_label
_atom_site_fract_x
_atom_site_fract_y
_atom_site_fract_z
Cs1 0.0000 0.1170 0.2500
Na1 0.0000 0.1736 0.5978
Na2 0.0000 0.3889 0.0670
Na3 0.1427 0.3817 0.7500
Na4 0.2277 0.0000 0.0000
Na5 0.2394 0.3597 0.2500
Li1 0.2500 0.2500 0.0000
```



Record 8
Computed powder diffractogram of CsNa2LiP for λ = 1.5418 Å (Cu Kα), from DFT lattice parameters and positions (GGA-PBE).
Neutral-atom scattering factors, no anomalous dispersion.

Most intense lines, 10° ≤ 2θ ≤ 90°, sorted by position:
- hkl 1 0 0, 15.35 deg, I = 44
- hkl 1 1 0, 21.78 deg, I = 34
- hkl 1 0 1, 23.42 deg, I = 100
- hkl 1 1 1, 28.12 deg, I = 60
- hkl 2 0 0, 30.99 deg, I = 46
- hkl 0 0 2, 35.59 deg, I = 16
- hkl 2 1 1, 39.20 deg, I = 50
- hkl 2 2 0, 44.39 deg, I = 16
- hkl 2 0 2, 47.89 deg, I = 26
- hkl 3 1 1, 53.38 deg, I = 20

Crystal structure
```
data_CsNa2LiP
_chemical_formula_sum 'Cs1 Na2 Li1 P1'
_cell_length_a 5.7716
_cell_length_b 5.7716
_cell_length_c 5.0456
_cell_angle_alpha 90.00
_cell_angle_beta 90.00
_cell_angle_gamma 90.00
_space_group_name_H-M_alt 'P 4/m m m'
_space_group_IT_number 123
_space_group_name_Hall '-P 4 2'
loop_
_atom_site_label
_atom_site_fract_x
_atom_site_fract_y
_atom_site_fract_z
Cs1 0.0000 0.0000 0.0000
Na1 0.0000 0.5000 0.5000
Li1 0.5000 0.5000 0.0000
P1 0.5000 0.5000 0.5000
```